1.
This entry pairs a crystal structure of NaLiHg6 with its simulated powder XRD pattern. Radiation: Cu Kα. Structure: a DFT-relaxed cell (PBE, Alexandria).
Peak positions follow from Bragg's law for the DFT cell and can differ from measured ones.

Most intense lines, 2θ from 10° to 90°, in order of rising 2θ:
2θ 19.25, intensity 17.9, (1 0 0); 2θ 27.58, intensity 15.4, (1 0 2); 2θ 33.86, intensity 100.0, (1 1 2); 2θ 39.08, intensity 34.5, (2 0 0); 2θ 39.72, intensity 15.7, (0 0 4); 2θ 56.46, intensity 12.0, (2 2 0); 2θ 56.95, intensity 22.2, (2 0 4); 2θ 67.48, intensity 27.9, (3 1 2); 2θ 68.37, intensity 12.1, (1 1 6); 2θ 71.24, intensity 11.5, (2 2 4)

Structure:
```
data_NaLiHg6
_cell_length_a 4.610
_cell_length_b 4.610
_cell_length_c 9.076
_cell_angle_alpha 90.00
_cell_angle_beta 90.00
_cell_angle_gamma 90.00
_space_group_name_H-M_alt 'P 4/m m m'
_space_group_IT_number 123
_space_group_name_Hall '-P 4 2'
loop_
_atom_site_label
_atom_site_fract_x
_atom_site_fract_y
_atom_site_fract_z
_atom_site_occupancy
Na1 0.000 0.000 0.000 1
Li1 0.000 0.000 0.500 1
Hg1 0.000 0.500 0.261 1
Hg2 0.500 0.500 0.000 1
Hg3 0.500 0.500 0.500 1
```


2.
This entry pairs a crystal structure of K6Rb10Au with its simulated powder XRD pattern. Radiation: Cu Kα. Structure: a DFT-relaxed cell (PBE, Alexandria).
Peak positions follow from Bragg's law for the DFT cell and can differ from measured ones.

Most intense lines, 2θ from 10° to 90°, in order of rising 2θ:
2θ 12.64, intensity 34.1, (1 0 1); 2θ 13.38, intensity 34.8, (1 1 0); 2θ 22.86, intensity 100.0, (2 1 1); 2θ 23.28, intensity 35.6, (3 0 0); 2θ 24.20, intensity 88.5, (1 1 2); 2θ 28.83, intensity 30.0, (2 2 1); 2θ 33.83, intensity 35.2, (2 2 2); 2θ 35.91, intensity 36.3, (4 1 0); 2θ 36.87, intensity 30.6, (3 -1 3); 2θ 45.99, intensity 23.3, (6 -3 2)

Structure:
```
data_K6Rb10Au
_cell_length_a 13.2337
_cell_length_b 13.2337
_cell_length_c 8.8486
_cell_angle_alpha 90.00
_cell_angle_beta 90.00
_cell_angle_gamma 120.00
_space_group_name_H-M_alt 'P -3 1 m'
_space_group_IT_number 162
_space_group_name_Hall '-P 3 2'
loop_
_atom_site_label
_atom_site_fract_x
_atom_site_fract_y
_atom_site_fract_z
_atom_site_occupancy
K1 0.0000 0.4083 0.2566 1
Rb1 0.0000 0.2195 0.7673 1
Rb2 0.3333 0.6667 0.0000 1
Rb3 0.3333 0.6667 0.5000 1
Au1 0.0000 0.0000 0.0000 1
```


3.
This entry pairs a crystal structure of TbSmAsSe with its simulated powder XRD pattern. Radiation: Cu Kα. Structure: a DFT-relaxed cell (PBE, Alexandria).
Peak positions follow from Bragg's law for the DFT cell and can differ from measured ones.

Most intense lines, 2θ from 10° to 90°, in order of rising 2θ:
2θ 26.27, intensity 14.8, (0 1 2); 2θ 30.37, intensity 100.0, (1 0 4); 2θ 43.38, intensity 36.8, (0 1 8); 2θ 43.60, intensity 37.3, (1 1 0); 2θ 51.55, intensity 7.2, (2 0 2); 2θ 54.06, intensity 19.6, (0 2 4); 2θ 63.19, intensity 12.0, (2 0 8); 2θ 71.55, intensity 15.9, (1 1 12); 2θ 71.87, intensity 16.7, (2 1 4); 2θ 79.91, intensity 12.3, (1 2 8)

Structure:
```
data_TbSmAsSe
_cell_length_a 4.1521
_cell_length_b 4.1521
_cell_length_c 20.4875
_cell_angle_alpha 90.00
_cell_angle_beta 90.00
_cell_angle_gamma 120.00
_space_group_name_H-M_alt 'R 3 m'
_space_group_IT_number 160
_space_group_name_Hall 'R 3 -2"'
loop_
_atom_site_label
_atom_site_fract_x
_atom_site_fract_y
_atom_site_fract_z
_atom_site_occupancy
Tb1 0.0000 0.0000 0.0000 1
Sm1 0.0000 0.0000 0.4921 1
As1 0.0000 0.0000 0.7442 1
Se1 0.0000 0.0000 0.2479 1
```


4.
This entry pairs a crystal structure of Ba2AlSnPd6 with its simulated powder XRD pattern. Radiation: Cu Kα. Structure: a DFT-relaxed cell (PBE, Alexandria).
Peak positions follow from Bragg's law for the DFT cell and can differ from measured ones.

Most intense lines, 2θ from 10° to 90°, in order of rising 2θ:
2θ 14.23, intensity 44.9, (0 1 0); 2θ 26.09, intensity 31.6, (1 0 -1); 2θ 27.58, intensity 35.7, (0 0 2); 2θ 27.84, intensity 82.9, (1 -1 1); 2θ 28.68, intensity 37.9, (0 2 0); 2θ 36.16, intensity 100.0, (2 2 2); 2θ 37.36, intensity 99.9, (2 0 2); 2θ 37.96, intensity 91.3, (0 2 2); 2θ 39.46, intensity 35.5, (1 1 -2); 2θ 40.67, intensity 30.5, (1 3 0)

Structure:
```
data_Ba2AlSnPd6
_cell_length_a 5.832
_cell_length_b 6.903
_cell_length_c 7.124
_cell_angle_alpha 74.98
_cell_angle_beta 65.94
_cell_angle_gamma 65.06
_space_group_name_H-M_alt 'P -1'
_space_group_IT_number 2
loop_
_space_group_symop_operation_xyz
'x,y,z'
'-x,-y,-z'
loop_
_atom_site_label
_atom_site_fract_x
_atom_site_fract_y
_atom_site_fract_z
_atom_site_occupancy
Ba1 0.247 0.300 0.205 1
Al1 0.500 0.500 0.500 1
Sn1 0.000 0.000 0.000 1
Pd1 0.228 0.770 0.284 1
Pd2 0.254 0.880 0.612 1
Pd3 0.282 0.230 0.717 1
```


5.
This entry pairs a crystal structure of Hg5SeS4 with its simulated powder XRD pattern. Radiation: Cu Kα. Structure: a DFT-relaxed cell (PBE, Alexandria).
Peak positions follow from Bragg's law for the DFT cell and can differ from measured ones.

Most intense lines, 2θ from 10° to 90°, in order of rising 2θ:
2θ 24.03, intensity 46.5, (1 0 0); 2θ 25.46, intensity 35.8, (0 0 10); 2θ 27.25, intensity 100.0, (0 1 5); 2θ 35.29, intensity 24.1, (0 1 10); 2θ 42.27, intensity 42.0, (1 1 0); 2θ 45.99, intensity 40.9, (1 0 15); 2θ 50.00, intensity 35.3, (1 1 10); 2θ 51.02, intensity 19.0, (2 0 5); 2θ 68.35, intensity 16.2, (1 2 5); 2θ 79.94, intensity 16.8, (2 1 15)

Structure:
```
data_Hg5SeS4
_cell_length_a 4.2760
_cell_length_b 4.2760
_cell_length_c 34.9853
_cell_angle_alpha 90.00
_cell_angle_beta 90.00
_cell_angle_gamma 120.00
_space_group_name_H-M_alt 'P 3 m 1'
_space_group_IT_number 156
loop_
_space_group_symop_operation_xyz
'x,y,z'
'-y,x-y,z'
'-x+y,-x,z'
'-y,-x,z'
'-x+y,y,z'
'x,x-y,z'
loop_
_atom_site_label
_atom_site_fract_x
_atom_site_fract_y
_atom_site_fract_z
_atom_site_occupancy
Hg1 0.0000 0.0000 0.0000 1
Hg2 0.0000 0.0000 0.1964 1
Hg3 0.0000 0.0000 0.3930 1
Hg4 0.0000 0.0000 0.5895 1
Hg5 0.0000 0.0000 0.7950 1
Hg6 0.6667 0.3333 0.0980 1
Hg7 0.6667 0.3333 0.2947 1
Hg8 0.6667 0.3333 0.4912 1
Hg9 0.6667 0.3333 0.6878 1
Hg10 0.6667 0.3333 0.8930 1
Se1 0.6667 0.3333 0.7656 1
Se2 0.6667 0.3333 0.9705 1
S1 0.0000 0.0000 0.0739 1
S2 0.0000 0.0000 0.2708 1
S3 0.0000 0.0000 0.4676 1
S4 0.0000 0.0000 0.6643 1
S5 0.0000 0.0000 0.8691 1
S6 0.6667 0.3333 0.1724 1
S7 0.6667 0.3333 0.3692 1
S8 0.6667 0.3333 0.5659 1
```


6.
This entry pairs a crystal structure of BaPaO with its simulated powder XRD pattern. Radiation: Cu Kα. Structure: a DFT-relaxed cell (PBE, Alexandria).
Peak positions follow from Bragg's law for the DFT cell and can differ from measured ones.

Most intense lines, 2θ from 10° to 90°, in order of rising 2θ:
2θ 25.48, intensity 60.5, (4 0 0); 2θ 29.73, intensity 47.1, (0 1 1); 2θ 30.42, intensity 100.0, (1 0 2); 2θ 35.54, intensity 57.5, (3 0 2); 2θ 39.54, intensity 35.1, (4 1 1); 2θ 44.24, intensity 59.4, (5 0 2); 2θ 52.76, intensity 31.9, (0 2 0); 2θ 59.47, intensity 37.4, (4 2 0); 2θ 67.90, intensity 23.8, (9 0 2); 2θ 77.51, intensity 16.9, (8 2 0)

Structure:
```
data_BaPaO
_cell_length_a 13.985
_cell_length_b 3.470
_cell_length_c 6.011
_cell_angle_alpha 90.00
_cell_angle_beta 90.00
_cell_angle_gamma 90.00
_space_group_name_H-M_alt 'A m m 2'
_space_group_IT_number 38
loop_
_space_group_symop_operation_xyz
'x,y,z'
'-x,-y,z'
'-x,y,z'
'x,-y,z'
'x,y+1/2,z+1/2'
'-x,-y+1/2,z+1/2'
'-x,y+1/2,z+1/2'
'x,-y+1/2,z+1/2'
loop_
_atom_site_label
_atom_site_fract_x
_atom_site_fract_y
_atom_site_fract_z
_atom_site_occupancy
Ba1 0.125 0.000 0.000 1
Pa1 0.386 0.000 0.673 1
O1 0.000 0.000 0.667 1
O2 0.500 0.000 0.007 1
```


7.
This entry pairs a crystal structure of Dy3Ni with its simulated powder XRD pattern. Radiation: Cu Kα. Structure: a DFT-relaxed cell (PBE, Alexandria).
Peak positions follow from Bragg's law for the DFT cell and can differ from measured ones.

Most intense lines, 2θ from 10° to 90°, in order of rising 2θ:
2θ 27.36, intensity 28.7, (3 0 1); 2θ 31.21, intensity 75.7, (1 1 2); 2θ 31.52, intensity 94.2, (3 2 1); 2θ 32.89, intensity 46.7, (3 3 0); 2θ 34.73, intensity 31.8, (2 4 0); 2θ 35.23, intensity 100.0, (4 1 1); 2θ 36.70, intensity 30.8, (2 2 2); 2θ 50.30, intensity 21.6, (6 1 1); 2θ 53.23, intensity 28.1, (3 2 3); 2θ 60.53, intensity 20.7, (0 0 4)

Structure:
```
data_Dy3Ni
_cell_length_a 11.552
_cell_length_b 11.552
_cell_length_c 6.120
_cell_angle_alpha 90.00
_cell_angle_beta 90.00
_cell_angle_gamma 90.00
_space_group_name_H-M_alt 'I -4'
_space_group_IT_number 82
loop_
_space_group_symop_operation_xyz
'x,y,z'
'y,-x,-z'
'-x,-y,z'
'-y,x,-z'
'x+1/2,y+1/2,z+1/2'
'y+1/2,-x+1/2,-z+1/2'
'-x+1/2,-y+1/2,z+1/2'
'-y+1/2,x+1/2,-z+1/2'
loop_
_atom_site_label
_atom_site_fract_x
_atom_site_fract_y
_atom_site_fract_z
_atom_site_occupancy
Dy1 0.000 0.141 0.250 1
Dy2 0.096 0.403 0.999 1
Dy3 0.201 0.299 0.546 1
Ni1 0.001 0.792 0.750 1
```


8.
This entry pairs a crystal structure of MgPd6W with its simulated powder XRD pattern. Radiation: Cu Kα. Structure: a DFT-relaxed cell (PBE, Alexandria).
Peak positions follow from Bragg's law for the DFT cell and can differ from measured ones.

Most intense lines, 2θ from 10° to 90°, in order of rising 2θ:
2θ 11.17, intensity 23.4, (0 0 1); 2θ 25.22, intensity 10.6, (1 0 1); 2θ 39.52, intensity 100.0, (1 1 2); 2θ 45.81, intensity 15.9, (0 0 4); 2θ 46.02, intensity 32.5, (2 0 0); 2θ 66.96, intensity 20.1, (2 0 4); 2θ 67.12, intensity 10.3, (2 2 0); 2θ 80.48, intensity 11.4, (1 1 6); 2θ 80.78, intensity 24.3, (3 1 2); 2θ 85.08, intensity 10.5, (2 2 4)

Structure:
```
data_MgPd6W
_cell_length_a 3.944
_cell_length_b 3.944
_cell_length_c 7.923
_cell_angle_alpha 90.00
_cell_angle_beta 90.00
_cell_angle_gamma 90.00
_space_group_name_H-M_alt 'P 4/m m m'
_space_group_IT_number 123
_space_group_name_Hall '-P 4 2'
loop_
_atom_site_label
_atom_site_fract_x
_atom_site_fract_y
_atom_site_fract_z
_atom_site_occupancy
Mg1 0.000 0.000 0.000 1
Pd1 0.000 0.500 0.260 1
Pd2 0.500 0.500 0.000 1
Pd3 0.500 0.500 0.500 1
W1 0.000 0.000 0.500 1
```


9.
This entry pairs a crystal structure of Pa6Bi3Os with its simulated powder XRD pattern. Radiation: Cu Kα. Structure: a DFT-relaxed cell (PBE, Alexandria).
Peak positions follow from Bragg's law for the DFT cell and can differ from measured ones.

Most intense lines, 2θ from 10° to 90°, in order of rising 2θ:
2θ 28.71, intensity 16.3, (3 0 0); 2θ 33.31, intensity 100.0, (0 3 3); 2θ 33.44, intensity 12.9, (0 0 6); 2θ 33.82, intensity 13.1, (2 1 4); 2θ 44.64, intensity 16.8, (3 0 6); 2θ 50.86, intensity 21.8, (3 3 0); 2θ 59.69, intensity 7.4, (0 3 9); 2θ 62.16, intensity 13.2, (6 0 3); 2θ 62.24, intensity 9.4, (3 3 6); 2θ 84.36, intensity 7.6, (3 6 3)

Structure:
```
data_Pa6Bi3Os
_cell_length_a 10.7726
_cell_length_b 10.7726
_cell_length_c 16.0790
_cell_angle_alpha 90.00
_cell_angle_beta 90.00
_cell_angle_gamma 120.00
_space_group_name_H-M_alt 'R -3 m'
_space_group_IT_number 166
_space_group_name_Hall '-R 3 2"'
loop_
_atom_site_label
_atom_site_fract_x
_atom_site_fract_y
_atom_site_fract_z
_atom_site_occupancy
Pa1 0.0799 0.5400 0.0851 1
Pa2 0.1069 0.5534 0.7741 1
Bi1 0.0886 0.5443 0.4016 1
Os1 0.0000 0.0000 0.0000 1
Os2 0.0000 0.0000 0.5000 1
```


10.
This entry pairs a crystal structure of La5Tb3Tm2 with its simulated powder XRD pattern. Radiation: Cu Kα. Structure: a DFT-relaxed cell (PBE, Alexandria).
Peak positions follow from Bragg's law for the DFT cell and can differ from measured ones.

Most intense lines, 2θ from 10° to 90°, in order of rising 2θ:
2θ 29.07, intensity 94.7, (2 2 1); 2θ 30.91, intensity 100.0, (2 4 0); 2θ 31.79, intensity 22.1, (0 4 2); 2θ 32.96, intensity 47.3, (4 0 -2); 2θ 33.51, intensity 20.4, (0 2 3); 2θ 35.41, intensity 27.6, (2 0 2); 2θ 48.52, intensity 22.8, (0 6 3); 2θ 59.90, intensity 24.2, (4 6 1); 2θ 61.84, intensity 30.8, (2 4 4); 2θ 68.92, intensity 17.5, (2 10 1)

Structure:
```
data_La5Tb3Tm2
_cell_length_a 10.871
_cell_length_b 14.896
_cell_length_c 10.168
_cell_angle_alpha 90.00
_cell_angle_beta 122.28
_cell_angle_gamma 90.00
_space_group_name_H-M_alt 'C 1 2/c 1'
_space_group_IT_number 15
loop_
_space_group_symop_operation_xyz
'x,y,z'
'-x,-y,-z'
'-x,y,-z+1/2'
'x,-y,z+1/2'
'x+1/2,y+1/2,z'
'-x+1/2,-y+1/2,-z'
'-x+1/2,y+1/2,-z+1/2'
'x+1/2,-y+1/2,z+1/2'
loop_
_atom_site_label
_atom_site_fract_x
_atom_site_fract_y
_atom_site_fract_z
_atom_site_occupancy
La1 0.000 0.018 0.250 1
La2 0.000 0.226 0.250 1
La3 0.000 0.474 0.750 1
La4 0.248 0.370 0.242 1
Tb1 0.000 0.269 0.750 1
Tb2 0.155 0.374 0.559 1
Tm1 0.156 0.130 0.061 1
```


11.
This entry pairs a crystal structure of Hg4SeIBr2 with its simulated powder XRD pattern. Radiation: Cu Kα. Structure: a DFT-relaxed cell (PBE, Alexandria).
Peak positions follow from Bragg's law for the DFT cell and can differ from measured ones.

Most intense lines, 2θ from 10° to 90°, in order of rising 2θ:
2θ 18.22, intensity 36.8, (1 1 1); 2θ 22.10, intensity 99.4, (2 1 0); 2θ 22.95, intensity 34.9, (0 0 2); 2θ 23.62, intensity 52.2, (0 2 1); 2θ 24.95, intensity 49.2, (2 1 1); 2θ 31.04, intensity 100.0, (0 2 2); 2θ 32.08, intensity 51.4, (2 1 2); 2θ 33.40, intensity 30.2, (3 1 1); 2θ 38.85, intensity 51.7, (2 3 1); 2θ 41.55, intensity 28.3, (2 1 3)

Structure:
```
data_Hg4SeIBr2
_cell_length_a 9.093
_cell_length_b 8.622
_cell_length_c 7.749
_cell_angle_alpha 90.00
_cell_angle_beta 90.00
_cell_angle_gamma 90.00
_space_group_name_H-M_alt 'P m n 21'
_space_group_IT_number 31
loop_
_space_group_symop_operation_xyz
'x,y,z'
'-x+1/2,-y,z+1/2'
'-x,y,z'
'x+1/2,-y,z+1/2'
loop_
_atom_site_label
_atom_site_fract_x
_atom_site_fract_y
_atom_site_fract_z
_atom_site_occupancy
Hg1 0.000 0.044 0.000 1
Hg2 0.000 0.925 0.459 1
Hg3 0.163 0.543 0.937 1
Se1 0.000 0.790 0.168 1
I1 0.000 0.187 0.671 1
Br1 0.242 0.226 0.138 1
```


12.
This entry pairs a crystal structure of InCo3SnS2 with its simulated powder XRD pattern. Radiation: Cu Kα. Structure: a DFT-relaxed cell (PBE, Alexandria).
Peak positions follow from Bragg's law for the DFT cell and can differ from measured ones.

Most intense lines, 2θ from 10° to 90°, in order of rising 2θ:
2θ 19.53, intensity 39.0, (0 0 3); 2θ 23.37, intensity 36.4, (0 1 2); 2θ 32.73, intensity 67.5, (1 0 4); 2θ 33.84, intensity 71.0, (1 1 0); 2θ 39.66, intensity 40.4, (0 0 6); 2θ 39.84, intensity 31.6, (0 2 1); 2θ 41.53, intensity 90.8, (2 0 2); 2θ 47.79, intensity 100.0, (0 2 4); 2θ 68.59, intensity 27.5, (2 0 8); 2θ 71.18, intensity 31.1, (2 2 0)

Structure:
```
data_InCo3SnS2
_cell_length_a 5.2984
_cell_length_b 5.2984
_cell_length_c 13.6353
_cell_angle_alpha 90.00
_cell_angle_beta 90.00
_cell_angle_gamma 120.00
_space_group_name_H-M_alt 'R -3 m'
_space_group_IT_number 166
_space_group_name_Hall '-R 3 2"'
loop_
_atom_site_label
_atom_site_fract_x
_atom_site_fract_y
_atom_site_fract_z
_atom_site_occupancy
In1 0.0000 0.0000 0.0000 1
Co1 0.0000 0.5000 0.5000 1
Sn1 0.0000 0.0000 0.5000 1
S1 0.0000 0.0000 0.2786 1
```


13.
This entry pairs a crystal structure of TbPr8Sc3 with its simulated powder XRD pattern. Radiation: Cu Kα. Structure: a DFT-relaxed cell (PBE, Alexandria).
Peak positions follow from Bragg's law for the DFT cell and can differ from measured ones.

Most intense lines, 2θ from 10° to 90°, in order of rising 2θ:
2θ 15.29, intensity 52.4, (1 1 0); 2θ 16.31, intensity 34.8, (0 2 0); 2θ 25.76, intensity 23.3, (0 3 1); 2θ 30.31, intensity 65.6, (2 0 2); 2θ 30.82, intensity 79.2, (0 0 4); 2θ 31.92, intensity 100.0, (1 3 2); 2θ 34.60, intensity 89.2, (2 2 2); 2θ 36.51, intensity 23.6, (0 4 2); 2θ 55.46, intensity 29.2, (1 3 6); 2θ 57.28, intensity 27.8, (2 2 6)

Structure:
```
data_TbPr8Sc3
_cell_length_a 6.846
_cell_length_b 10.870
_cell_length_c 11.608
_cell_angle_alpha 90.00
_cell_angle_beta 90.00
_cell_angle_gamma 90.00
_space_group_name_H-M_alt 'I m m m'
_space_group_IT_number 71
_space_group_name_Hall '-I 2 2'
loop_
_atom_site_label
_atom_site_fract_x
_atom_site_fract_y
_atom_site_fract_z
_atom_site_occupancy
Tb1 0.000 0.000 0.000 1
Pr1 0.000 0.165 0.252 1
Pr2 0.222 0.288 0.000 1
Sc1 0.000 0.000 0.500 1
Sc2 0.000 0.500 0.212 1
```